No. 1
Structure and calculated powder diffraction line list of K2ScFe (DFT lattice parameters and positions (PBE); a wavelength of 1.5418 Å).

Structure:
```
data_K2ScFe
_cell_length_a 3.614
_cell_length_b 3.617
_cell_length_c 10.703
_cell_angle_alpha 90.00
_cell_angle_beta 90.29
_cell_angle_gamma 90.00
_space_group_name_H-M_alt 'P 1 m 1'
_space_group_IT_number 6
loop_
_space_group_symop_operation_xyz
'x,y,z'
'x,-y,z'
loop_
_atom_site_label
_atom_site_type_symbol
_atom_site_fract_x
_atom_site_fract_y
_atom_site_fract_z
_atom_site_occupancy
K1 K 0.000 0.000 0.000 1
K2 K 0.485 0.500 0.384 1
Sc1 Sc 0.491 0.500 0.710 1
Fe1 Fe 0.990 0.000 0.638 1
```

Principal peaks in the range 2θ from 5° to 70°, by intensity:
(hkl)  two_theta  d_spacing  Rel. int.
0 0 1  8.26  10.703  100
1 1 0  35.10  2.556  40
0 0 3  24.96  3.568  33
0 1 2  29.80  2.998  28
1 0 -3  35.31  2.542  19
1 0 -1  26.01  3.425  15



No. 2
Structure and calculated powder diffraction line list of BaNd (DFT lattice parameters and positions (PBE); a wavelength of 1.5418 Å).

Structure:
```
data_BaNd
_cell_length_a 3.994
_cell_length_b 3.994
_cell_length_c 11.610
_cell_angle_alpha 90.00
_cell_angle_beta 90.00
_cell_angle_gamma 90.00
_space_group_name_H-M_alt 'P 4/n m m'
_space_group_IT_number 129
loop_
_space_group_symop_operation_xyz
'x,y,z'
'-x,-y,-z'
'-y+1/2,x,z'
'y+1/2,-x,-z'
'-x+1/2,-y+1/2,z'
'x+1/2,y+1/2,-z'
'y,-x+1/2,z'
'-y,x+1/2,-z'
'x+1/2,-y,-z'
'-x+1/2,y,z'
'-y,-x,-z'
'y,x,z'
'-x,y+1/2,-z'
'x,-y+1/2,z'
'y+1/2,x+1/2,-z'
'-y+1/2,-x+1/2,z'
loop_
_atom_site_label
_atom_site_type_symbol
_atom_site_fract_x
_atom_site_fract_y
_atom_site_fract_z
_atom_site_occupancy
Ba1 Ba 0.250 0.250 0.153 1
Nd1 Nd 0.250 0.250 0.596 1
```

Principal peaks in the range 2θ from 5° to 70°, by intensity:
(hkl)  two_theta  d_spacing  Rel. int.
1 0 2  27.10  3.291  100
1 1 0  31.68  2.825  38
2 1 2  53.68  1.707  30
1 1 4  44.77  2.024  16
2 0 0  45.41  1.997  14
0 0 4  30.81  2.902  12



No. 3
Structure and calculated powder diffraction line list of LiCa2Pd3 (DFT lattice parameters and positions (PBE); a wavelength of 1.5418 Å).

Structure:
```
data_LiCa2Pd3
_cell_length_a 5.6339
_cell_length_b 5.6339
_cell_length_c 12.5033
_cell_angle_alpha 90.00
_cell_angle_beta 90.00
_cell_angle_gamma 120.00
_space_group_name_H-M_alt 'R -3 m'
_space_group_IT_number 166
_space_group_name_Hall '-R 3 2"'
loop_
_atom_site_label
_atom_site_type_symbol
_atom_site_fract_x
_atom_site_fract_y
_atom_site_fract_z
_atom_site_occupancy
Li1 Li 0.0000 0.0000 0.0000 1
Ca1 Ca 0.0000 0.0000 0.3739 1
Pd1 Pd 0.0000 0.5000 0.5000 1
```

Principal peaks in the range 2θ from 5° to 70°, by intensity:
(hkl)  two_theta  d_spacing  Rel. int.
0 2 1  37.56  2.394  100
0 0 3  21.32  4.168  67
2 0 2  39.66  2.273  65
1 1 3  38.58  2.334  39
1 0 4  34.06  2.632  32
0 1 2  23.12  3.846  27



No. 4
Structure and calculated powder diffraction line list of Ba4PdI4 (DFT lattice parameters and positions (PBE); a wavelength of 1.5418 Å).

Structure:
```
data_Ba4PdI4
_cell_length_a 17.515
_cell_length_b 4.829
_cell_length_c 12.147
_cell_angle_alpha 90.00
_cell_angle_beta 121.49
_cell_angle_gamma 90.00
_space_group_name_H-M_alt 'C 1 2/m 1'
_space_group_IT_number 12
loop_
_space_group_symop_operation_xyz
'x,y,z'
'-x,-y,-z'
'-x,y,-z'
'x,-y,z'
'x+1/2,y+1/2,z'
'-x+1/2,-y+1/2,-z'
'-x+1/2,y+1/2,-z'
'x+1/2,-y+1/2,z'
loop_
_atom_site_label
_atom_site_type_symbol
_atom_site_fract_x
_atom_site_fract_y
_atom_site_fract_z
_atom_site_occupancy
Ba1 Ba 0.077 0.000 0.396 1
Ba2 Ba 0.178 0.500 0.763 1
Pd1 Pd 0.000 0.500 0.500 1
I1 I 0.119 0.000 0.919 1
I2 I 0.205 0.500 0.312 1
```

Principal peaks in the range 2θ from 5° to 70°, by intensity:
(hkl)  two_theta  d_spacing  Rel. int.
3 1 -2  25.19  3.536  100
2 0 2  25.54  3.487  40
1 1 -4  37.01  2.429  31
5 1 0  35.33  2.540  31
6 0 -4  34.56  2.595  20
0 2 0  37.24  2.415  18



No. 5
Structure and calculated powder diffraction line list of MgZn2P (DFT lattice parameters and positions (PBE); a wavelength of 1.5418 Å).

Structure:
```
data_MgZn2P
_cell_length_a 3.762
_cell_length_b 3.578
_cell_length_c 5.524
_cell_angle_alpha 90.00
_cell_angle_beta 109.83
_cell_angle_gamma 90.00
_space_group_name_H-M_alt 'P 1 m 1'
_space_group_IT_number 6
loop_
_space_group_symop_operation_xyz
'x,y,z'
'x,-y,z'
loop_
_atom_site_label
_atom_site_type_symbol
_atom_site_fract_x
_atom_site_fract_y
_atom_site_fract_z
_atom_site_occupancy
Mg1 Mg 0.000 0.000 0.000 1
Zn1 Zn 0.273 0.000 0.548 1
Zn2 Zn 0.684 0.500 0.359 1
P1 P 0.441 0.500 0.882 1
```

Principal peaks in the range 2θ from 5° to 70°, by intensity:
(hkl)  two_theta  d_spacing  Rel. int.
1 1 0  35.69  2.516  100
0 1 2  43.02  2.102  41
1 0 -2  35.22  2.548  33
1 1 1  43.60  2.076  31
0 0 1  17.06  5.196  29
2 1 -3  66.72  1.402  20



No. 6
Structure and calculated powder diffraction line list of Mg5Sb (DFT lattice parameters and positions (PBE); a wavelength of 1.5418 Å).

Structure:
```
data_Mg5Sb
_cell_length_a 5.6182
_cell_length_b 5.6182
_cell_length_c 5.1326
_cell_angle_alpha 90.00
_cell_angle_beta 90.00
_cell_angle_gamma 120.00
_space_group_name_H-M_alt 'P -6 2 m'
_space_group_IT_number 189
_space_group_name_Hall 'P -6 -2'
loop_
_atom_site_label
_atom_site_type_symbol
_atom_site_fract_x
_atom_site_fract_y
_atom_site_fract_z
_atom_site_occupancy
Mg1 Mg 0.0000 0.6604 0.0000 1
Mg2 Mg 0.3333 0.6667 0.5000 1
Sb1 Sb 0.0000 0.0000 0.5000 1
```

Principal peaks in the range 2θ from 5° to 70°, by intensity:
(hkl)  two_theta  d_spacing  Rel. int.
1 1 1  36.46  2.464  100
1 0 0  18.23  4.865  50
1 0 1  25.22  3.531  50
1 1 0  31.86  2.809  33
0 0 2  34.96  2.566  24
1 1 2  48.02  1.895  21



No. 7
Structure and calculated powder diffraction line list of Ho5CuBi2 (DFT lattice parameters and positions (PBE); a wavelength of 1.5418 Å).

Structure:
```
data_Ho5CuBi2
_cell_length_a 5.539
_cell_length_b 15.233
_cell_length_c 13.436
_cell_angle_alpha 90.00
_cell_angle_beta 90.00
_cell_angle_gamma 90.00
_space_group_name_H-M_alt 'C m c m'
_space_group_IT_number 63
_space_group_name_Hall '-C 2c 2'
loop_
_atom_site_label
_atom_site_type_symbol
_atom_site_fract_x
_atom_site_fract_y
_atom_site_fract_z
_atom_site_occupancy
Ho1 Ho 0.000 0.085 0.116 1
Ho2 Ho 0.000 0.287 0.750 1
Ho3 Ho 0.000 0.304 0.039 1
Cu1 Cu 0.000 0.224 0.250 1
Bi1 Bi 0.000 0.121 0.607 1
```

Principal peaks in the range 2θ from 5° to 70°, by intensity:
(hkl)  two_theta  d_spacing  Rel. int.
1 5 0  33.57  2.669  100
1 1 0  17.03  5.206  95
2 0 0  32.33  2.769  87
1 1 4  31.70  2.822  86
1 3 4  35.94  2.499  48
0 2 0  11.62  7.617  47